Calculated PXRD pattern
Compound: LiCd3P
Radiation: λ = 1.5418 Å (Cu Kα)
Structure: a PBE-relaxed structure

Principal peaks in the range 2θ = 10–90°, by angle:
| 2θ/deg | intensity |
| --- | --- |
| 17.0 | 58 |
| 24.1 | 15 |
| 29.7 | 100 |
| 34.4 | 72 |
| 38.6 | 28 |
| 49.4 | 50 |
| 58.7 | 41 |
| 61.6 | 17 |
| 80.2 | 16 |
| 82.7 | 21 |

Cell and atoms:
Unit cell a=5.216 b=5.216 c=5.216 alpha=90.00 beta=90.00 gamma=90.00
Atoms (fractional coordinates):
Li  0.000  0.000  0.000
Cd  0.000  0.500  0.500
Cd  0.500  0.000  0.500
Cd  0.500  0.500  0.000
P  0.500  0.500  0.500